(1)
This entry pairs a crystal structure of Ce2HfCo16 with its theoretical powder XRD pattern. Radiation: a wavelength of 1.5418 Å. Structure: a crystal structure in Alexandria, relaxed with PBE.

Principal peaks in the range 5° ≤ 2θ ≤ 70°, sorted by position:
d [Å]	2θ/deg	I/Imax
2.931	30.5	27
2.417	37.2	63
2.184	41.3	55
2.093	43.2	82
2.083	43.5	100
1.865	48.8	30

Cell and atoms:
Unit cell a=8.372 b=8.372 c=8.209 alpha=90.00 beta=90.00 gamma=120.00
Fractional coordinates of all 38 atoms:
1 Ce 0.000 0.000 0.249
2 Ce 0.000 0.000 0.751
3 Ce 0.333 0.667 0.270
4 Ce 0.667 0.333 0.730
5 Hf 0.333 0.667 0.887
6 Hf 0.667 0.333 0.113
7 Co 0.000 0.500 0.000
8 Co 0.000 0.500 0.500
9 Co 0.039 0.366 0.749
10 Co 0.039 0.673 0.749
11 Co 0.164 0.327 0.027
12 Co 0.164 0.836 0.027
13 Co 0.166 0.332 0.485
14 Co 0.166 0.834 0.485
15 Co 0.327 0.164 0.973
16 Co 0.327 0.366 0.749
17 Co 0.327 0.961 0.749
18 Co 0.332 0.166 0.515
19 Co 0.333 0.667 0.591
20 Co 0.366 0.039 0.251
21 Co 0.366 0.327 0.251
22 Co 0.500 0.000 0.000
23 Co 0.500 0.000 0.500
24 Co 0.500 0.500 0.000
25 Co 0.500 0.500 0.500
26 Co 0.634 0.673 0.749
27 Co 0.634 0.961 0.749
28 Co 0.667 0.333 0.409
29 Co 0.668 0.834 0.485
30 Co 0.673 0.039 0.251
31 Co 0.673 0.634 0.251
32 Co 0.673 0.836 0.027
33 Co 0.834 0.166 0.515
34 Co 0.834 0.668 0.515
35 Co 0.836 0.164 0.973
36 Co 0.836 0.673 0.973
37 Co 0.961 0.327 0.251
38 Co 0.961 0.634 0.251

(2)
This entry pairs a crystal structure of CeHf2Co9 with its theoretical powder XRD pattern. Radiation: a wavelength of 1.5418 Å. Structure: a crystal structure in Alexandria, relaxed with PBE.

Principal peaks in the range 5° ≤ 2θ ≤ 70°, sorted by position:
d [Å]	2θ/deg	I/Imax
2.650	33.8	47
2.434	36.9	88
2.099	43.1	34
2.075	43.6	100
1.987	45.7	24
1.928	47.1	29

Cell and atoms:
Unit cell a=8.434 b=8.434 c=8.434 alpha=33.54 beta=33.54 gamma=33.54
Fractional coordinates of all 12 atoms:
1 Ce 0.000 0.000 0.000
2 Hf 0.140 0.140 0.140
3 Hf 0.860 0.860 0.860
4 Co 0.079 0.589 0.589
5 Co 0.336 0.336 0.336
6 Co 0.411 0.411 0.921
7 Co 0.411 0.921 0.411
8 Co 0.500 0.500 0.500
9 Co 0.589 0.079 0.589
10 Co 0.589 0.589 0.079
11 Co 0.664 0.664 0.664
12 Co 0.921 0.411 0.411

(3)
This entry pairs a crystal structure of Ce7Co2Hg2 with its theoretical powder XRD pattern. Radiation: a wavelength of 1.5418 Å. Structure: a crystal structure in Alexandria, relaxed with PBE.

Principal peaks in the range 5° ≤ 2θ ≤ 70°, sorted by position:
d [Å]	2θ/deg	I/Imax
3.348	26.6	56
3.179	28.1	41
2.970	30.1	52
2.878	31.1	66
2.799	32.0	89
2.309	39.0	100

Cell and atoms:
Unit cell a=6.800 b=6.800 c=6.718 alpha=90.00 beta=90.00 gamma=110.79
Fractional coordinates of all 11 atoms:
1 Ce 0.000 0.000 0.000
2 Ce 0.000 0.500 0.262
3 Ce 0.000 0.500 0.738
4 Ce 0.500 0.000 0.262
5 Ce 0.500 0.000 0.738
6 Ce 0.500 0.500 0.204
7 Ce 0.500 0.500 0.796
8 Co 0.274 0.726 0.000
9 Co 0.726 0.274 0.000
10 Hg 0.181 0.181 0.500
11 Hg 0.819 0.819 0.500

(4)
This entry pairs a crystal structure of Ce6CoHg with its theoretical powder XRD pattern. Radiation: a wavelength of 1.5418 Å. Structure: a crystal structure in Alexandria, relaxed with PBE.

Principal peaks in the range 5° ≤ 2θ ≤ 70°, sorted by position:
d [Å]	2θ/deg	I/Imax
2.900	30.8	49
2.887	31.0	100
2.740	32.7	58
2.475	36.3	96
2.458	36.6	46
2.359	38.1	64

Cell and atoms:
Unit cell a=6.088 b=6.088 c=6.122 alpha=101.23 beta=101.23 gamma=101.67
Fractional coordinates of all 8 atoms:
1 Ce 0.089 0.685 0.693
2 Ce 0.309 0.309 0.907
3 Ce 0.315 0.911 0.307
4 Ce 0.685 0.089 0.693
5 Ce 0.691 0.691 0.093
6 Ce 0.911 0.315 0.307
7 Co 0.000 0.000 0.000
8 Hg 0.500 0.500 0.500

(5)
This entry pairs a crystal structure of CeThCoHg with its theoretical powder XRD pattern. Radiation: a wavelength of 1.5418 Å. Structure: a crystal structure in Alexandria, relaxed with PBE.

Principal peaks in the range 5° ≤ 2θ ≤ 70°, sorted by position:
d [Å]	2θ/deg	I/Imax
4.787	18.5	16
3.065	29.1	18
2.715	33.0	21
2.581	34.8	100
2.394	37.6	23
1.415	66.0	16

Cell and atoms:
Unit cell a=3.714 b=4.787 c=5.431 alpha=90.00 beta=90.00 gamma=90.00
Fractional coordinates of all 4 atoms:
1 Ce 0.000 0.000 0.000
2 Th 0.000 0.500 0.538
3 Co 0.500 0.000 0.368
4 Hg 0.500 0.500 0.063

(6)
This entry pairs a crystal structure of CeYCoHg with its theoretical powder XRD pattern. Radiation: a wavelength of 1.5418 Å. Structure: a crystal structure in Alexandria, relaxed with PBE.

Principal peaks in the range 5° ≤ 2θ ≤ 70°, sorted by position:
d [Å]	2θ/deg	I/Imax
3.054	29.2	49
2.717	33.0	100
2.555	35.1	42
2.516	35.7	41
2.389	37.7	57
1.793	50.9	38

Cell and atoms:
Unit cell a=3.616 b=3.616 c=7.302 alpha=97.55 beta=97.55 gamma=88.18
Fractional coordinates of all 4 atoms:
1 Ce 0.000 0.000 0.000
2 Y 0.143 0.143 0.575
3 Co 0.635 0.635 0.799
4 Hg 0.571 0.571 0.305

(7)
This entry pairs a crystal structure of Ce3HoCo8 with its theoretical powder XRD pattern. Radiation: a wavelength of 1.5418 Å. Structure: a crystal structure in Alexandria, relaxed with PBE.

Principal peaks in the range 5° ≤ 2θ ≤ 70°, sorted by position:
d [Å]	2θ/deg	I/Imax
4.082	21.8	11
2.500	35.9	62
2.132	42.4	100
2.041	44.4	16
1.443	64.6	22
1.361	69.0	28

Cell and atoms:
Unit cell a=8.652 b=8.652 c=8.652 alpha=33.60 beta=33.60 gamma=33.60
Fractional coordinates of all 12 atoms:
1 Ce 0.000 0.000 0.000
2 Ce 0.124 0.124 0.124
3 Ce 0.629 0.629 0.629
4 Ho 0.503 0.503 0.503
5 Co 0.064 0.064 0.563
6 Co 0.064 0.563 0.064
7 Co 0.066 0.564 0.564
8 Co 0.314 0.314 0.314
9 Co 0.563 0.064 0.064
10 Co 0.564 0.066 0.564
11 Co 0.564 0.564 0.066
12 Co 0.815 0.815 0.815

(8)
This entry pairs a crystal structure of Ce2Ho3Co4 with its theoretical powder XRD pattern. Radiation: a wavelength of 1.5418 Å. Structure: a crystal structure in Alexandria, relaxed with PBE.

Principal peaks in the range 5° ≤ 2θ ≤ 70°, sorted by position:
d [Å]	2θ/deg	I/Imax
2.735	32.7	64
2.642	33.9	34
2.554	35.1	100
2.543	35.3	98
2.308	39.0	38
2.243	40.2	61

Cell and atoms:
Unit cell a=8.287 b=8.287 c=5.470 alpha=108.88 beta=108.88 gamma=31.41
Fractional coordinates of all 9 atoms:
1 Ce 0.163 0.163 0.160
2 Ce 0.837 0.837 0.840
3 Ho 0.379 0.379 0.381
4 Ho 0.500 0.500 0.000
5 Ho 0.621 0.621 0.619
6 Co 0.000 0.000 0.299
7 Co 0.000 0.000 0.701
8 Co 0.286 0.286 0.789
9 Co 0.714 0.714 0.211

(9)
This entry pairs a crystal structure of CeHoCoRu with its theoretical powder XRD pattern. Radiation: a wavelength of 1.5418 Å. Structure: a crystal structure in Alexandria, relaxed with PBE.

Principal peaks in the range 5° ≤ 2θ ≤ 70°, sorted by position:
d [Å]	2θ/deg	I/Imax
3.393	26.3	11
2.399	37.5	100
1.959	46.3	3
1.697	54.1	17
1.517	61.1	4
1.385	67.6	35

Cell and atoms:
Unit cell a=4.798 b=4.798 c=4.798 alpha=60.00 beta=60.00 gamma=60.00
Fractional coordinates of all 4 atoms:
1 Ce 0.000 0.000 0.000
2 Ho 0.500 0.500 0.500
3 Co 0.250 0.250 0.250
4 Ru 0.750 0.750 0.750

(10)
This entry pairs a crystal structure of Ce3CoI3 with its theoretical powder XRD pattern. Radiation: a wavelength of 1.5418 Å. Structure: a crystal structure in Alexandria, relaxed with PBE.

Principal peaks in the range 5° ≤ 2θ ≤ 70°, sorted by position:
d [Å]	2θ/deg	I/Imax
3.154	28.3	100
2.958	30.2	30
2.921	30.6	20
2.204	40.9	22
2.174	41.5	20
2.114	42.8	21

Cell and atoms:
Unit cell a=9.180 b=4.348 c=11.854 alpha=90.00 beta=93.48 gamma=90.00
Fractional coordinates of all 14 atoms:
1 Ce 0.096 0.250 0.407
2 Ce 0.110 0.250 0.822
3 Ce 0.315 0.750 0.615
4 Ce 0.685 0.250 0.385
5 Ce 0.890 0.750 0.178
6 Ce 0.904 0.750 0.593
7 Co 0.112 0.250 0.618
8 Co 0.888 0.750 0.382
9 I 0.137 0.250 0.120
10 I 0.364 0.750 0.884
11 I 0.393 0.750 0.354
12 I 0.607 0.250 0.646
13 I 0.636 0.250 0.116
14 I 0.863 0.750 0.880

(11)
This entry pairs a crystal structure of Ce4In16Co3 with its theoretical powder XRD pattern. Radiation: a wavelength of 1.5418 Å. Structure: a crystal structure in Alexandria, relaxed with PBE.

Principal peaks in the range 5° ≤ 2θ ≤ 70°, sorted by position:
d [Å]	2θ/deg	I/Imax
2.919	30.6	54
2.577	34.8	100
2.455	36.6	29
2.347	38.4	70
1.696	54.1	36
1.395	67.1	26

Cell and atoms:
Unit cell a=6.637 b=6.637 c=12.273 alpha=90.00 beta=90.00 gamma=90.00
Fractional coordinates of all 23 atoms:
1 Ce 0.000 0.500 0.196
2 Ce 0.000 0.500 0.804
3 Ce 0.500 0.000 0.196
4 Ce 0.500 0.000 0.804
5 In 0.000 0.000 0.196
6 In 0.000 0.000 0.804
7 In 0.228 0.228 0.000
8 In 0.228 0.772 0.000
9 In 0.249 0.249 0.383
10 In 0.249 0.249 0.617
11 In 0.249 0.751 0.383
12 In 0.249 0.751 0.617
13 In 0.500 0.500 0.211
14 In 0.500 0.500 0.789
15 In 0.751 0.249 0.383
16 In 0.751 0.249 0.617
17 In 0.751 0.751 0.383
18 In 0.751 0.751 0.617
19 In 0.772 0.228 0.000
20 In 0.772 0.772 0.000
21 Co 0.000 0.500 0.500
22 Co 0.500 0.000 0.500
23 Co 0.500 0.500 0.000

(12)
This entry pairs a crystal structure of Ce4InCo with its theoretical powder XRD pattern. Radiation: a wavelength of 1.5418 Å. Structure: a crystal structure in Alexandria, relaxed with PBE.

Principal peaks in the range 5° ≤ 2θ ≤ 70°, sorted by position:
d [Å]	2θ/deg	I/Imax
2.968	30.1	57
2.912	30.7	88
2.881	31.0	85
2.639	34.0	92
2.553	35.2	100
2.419	37.2	92

Cell and atoms:
Unit cell a=8.095 b=8.095 c=5.884 alpha=100.77 beta=100.77 gamma=122.37
Fractional coordinates of all 12 atoms:
1 Ce 0.128 0.745 0.939
2 Ce 0.180 0.341 0.641
3 Ce 0.255 0.872 0.561
4 Ce 0.341 0.180 0.141
5 Ce 0.659 0.820 0.859
6 Ce 0.745 0.128 0.439
7 Ce 0.820 0.659 0.359
8 Ce 0.872 0.255 0.061
9 In 0.387 0.613 0.250
10 In 0.613 0.387 0.750
11 Co 0.014 0.986 0.250
12 Co 0.986 0.014 0.750

(13)
This entry pairs a crystal structure of Ce7InCo2 with its theoretical powder XRD pattern. Radiation: a wavelength of 1.5418 Å. Structure: a crystal structure in Alexandria, relaxed with PBE.

Principal peaks in the range 5° ≤ 2θ ≤ 70°, sorted by position:
d [Å]	2θ/deg	I/Imax
4.862	18.2	42
3.078	29.0	94
2.759	32.5	49
2.657	33.7	39
2.454	36.6	60
2.434	36.9	100

Cell and atoms:
Unit cell a=7.996 b=7.996 c=4.862 alpha=90.00 beta=90.00 gamma=113.86
Fractional coordinates of all 10 atoms:
1 Ce 0.000 0.000 0.000
2 Ce 0.203 0.797 0.500
3 Ce 0.205 0.462 0.000
4 Ce 0.462 0.205 0.000
5 Ce 0.538 0.795 0.000
6 Ce 0.795 0.538 0.000
7 Ce 0.797 0.203 0.500
8 In 0.500 0.500 0.500
9 Co 0.181 0.819 0.000
10 Co 0.819 0.181 0.000